The following is a simulated X-ray powder pattern of LiAg2IO4. It was derived from a cell relaxed with GGA-PBE, using copper Kα.

The 10 most intense peaks (10 to 80 degrees two-theta), in order of rising 2θ:
19.80°, intensity 31
20.99°, intensity 25
30.70°, intensity 46
32.76°, intensity 78
33.81°, intensity 33
35.73°, intensity 100
41.50°, intensity 36
53.86°, intensity 27
57.87°, intensity 22
63.57°, intensity 27

Cell and atoms:
a b c (Å): 5.040 5.040 5.400
angles (deg): 115.12 115.12 88.38
Atoms (fractional coordinates):
Li1 0.000 0.000 0.000
Ag1 0.223 0.777 0.500
Ag2 0.473 0.527 0.000
I1 0.707 0.293 0.500
O1 0.044 0.272 0.430
O2 0.427 0.054 0.054
O3 0.728 0.956 0.570
O4 0.946 0.573 0.946